This entry pairs a crystal structure of NaCuSnS3 with its theoretical powder X-ray diffraction pattern. Radiation: Cu Kα (λ = 1.5418 Å). Structure: DFT lattice parameters and positions (GGA-PBE).
Kinematic intensities with the Lorentz-polarization factor, no thermal factor.

abc: 7.5657 3.8060 9.0611
angles: 90.00 104.63 90.00
Atoms (fractional coordinates):
Na: 0.2393 0.2500 0.1878
Na: 0.7607 0.7500 0.8122
Cu: 0.4419 0.2500 0.9147
Cu: 0.5581 0.7500 0.0853
Sn: 0.1878 0.7500 0.6496
Sn: 0.8122 0.2500 0.3504
S: 0.0673 0.7500 0.3564
S: 0.2553 0.7500 0.9429
S: 0.4207 0.2500 0.6558
S: 0.5793 0.7500 0.3442
S: 0.7447 0.2500 0.0571
S: 0.9327 0.2500 0.6436

The 12 most intense peaks (15 to 90 degrees two-theta), sorted by position:
| 2θ/deg | I/Imax |
| --- | --- |
| 26.2 | 34 |
| 26.4 | 39 |
| 29.4 | 62 |
| 30.6 | 43 |
| 33.6 | 100 |
| 34.0 | 73 |
| 37.3 | 29 |
| 38.3 | 75 |
| 47.8 | 41 |
| 49.0 | 53 |
| 50.7 | 41 |
| 61.8 | 29 |

This entry pairs a crystal structure of Na3Ta2Cu3S8 with its theoretical powder X-ray diffraction pattern. Radiation: Cu Kα (λ = 1.5418 Å). Structure: DFT lattice parameters and positions (GGA-PBE).
Kinematic intensities with the Lorentz-polarization factor, no thermal factor.

abc: 10.3981 10.3981 6.7509
angles: 95.17 95.17 30.89
Atoms (fractional coordinates):
Na: 0.0000 0.0000 0.0000
Na: 0.3629 0.2285 0.7994
Na: 0.7715 0.6371 0.2006
Ta: 0.6171 0.1272 0.3083
Ta: 0.8728 0.3829 0.6917
Cu: 0.1234 0.6312 0.3142
Cu: 0.3688 0.8766 0.6858
Cu: 0.7470 0.2530 0.5000
S: 0.0740 0.1068 0.4237
S: 0.1571 0.1659 0.9546
S: 0.2797 0.2970 0.3841
S: 0.4726 0.4496 0.2254
S: 0.5504 0.5274 0.7746
S: 0.7030 0.7203 0.6159
S: 0.8341 0.8429 0.0454
S: 0.8932 0.9260 0.5763

The 12 most intense peaks (15 to 90 degrees two-theta), sorted by position:
| 2θ/deg | I/Imax |
| --- | --- |
| 15.2 | 100 |
| 16.6 | 83 |
| 17.8 | 37 |
| 21.0 | 21 |
| 28.8 | 21 |
| 31.8 | 14 |
| 35.9 | 33 |
| 37.1 | 17 |
| 42.7 | 15 |
| 45.2 | 15 |
| 45.5 | 26 |
| 54.5 | 16 |

This entry pairs a crystal structure of NaZrCuS3 with its theoretical powder X-ray diffraction pattern. Radiation: Cu Kα (λ = 1.5418 Å). Structure: DFT lattice parameters and positions (GGA-PBE).
Kinematic intensities with the Lorentz-polarization factor, no thermal factor.

abc: 7.4473 3.7187 9.1584
angles: 90.00 107.39 90.00
Atoms (fractional coordinates):
Na: 0.2501 0.2500 0.2100
Na: 0.7499 0.7500 0.7900
Zr: 0.1909 0.7500 0.6676
Zr: 0.8091 0.2500 0.3324
Cu: 0.4143 0.2500 0.9036
Cu: 0.5857 0.7500 0.0964
S: 0.0666 0.7500 0.3619
S: 0.2486 0.7500 0.9552
S: 0.4223 0.2500 0.6551
S: 0.5777 0.7500 0.3449
S: 0.7514 0.2500 0.0448
S: 0.9334 0.2500 0.6381

The 12 most intense peaks (15 to 90 degrees two-theta), sorted by position:
| 2θ/deg | I/Imax |
| --- | --- |
| 30.3 | 58 |
| 30.7 | 47 |
| 34.2 | 82 |
| 34.9 | 100 |
| 38.3 | 79 |
| 38.6 | 42 |
| 39.3 | 38 |
| 41.3 | 25 |
| 43.9 | 34 |
| 48.5 | 63 |
| 49.0 | 58 |
| 61.0 | 26 |

This entry pairs a crystal structure of NaTaCu2Se4 with its theoretical powder X-ray diffraction pattern. Radiation: Cu Kα (λ = 1.5418 Å). Structure: DFT lattice parameters and positions (GGA-PBE).
Kinematic intensities with the Lorentz-polarization factor, no thermal factor.

abc: 5.7067 5.7067 6.9830
angles: 90.00 90.00 90.00
Atoms (fractional coordinates):
Na: 0.0000 0.0000 0.0000
Ta: 0.0000 0.0000 0.5000
Cu: 0.0000 0.5000 0.5000
Cu: 0.5000 0.0000 0.5000
Se: 0.2493 0.2493 0.2991
Se: 0.2493 0.7507 0.7009
Se: 0.7507 0.2493 0.7009
Se: 0.7507 0.7507 0.2991

The 12 most intense peaks (15 to 90 degrees two-theta), sorted by position:
| 2θ/deg | I/Imax |
| --- | --- |
| 15.5 | 64 |
| 20.1 | 40 |
| 25.5 | 93 |
| 30.0 | 26 |
| 33.9 | 35 |
| 40.8 | 100 |
| 44.9 | 53 |
| 46.9 | 28 |
| 50.6 | 45 |
| 52.4 | 32 |
| 80.1 | 27 |
| 87.1 | 22 |

This entry pairs a crystal structure of Na2TaCuSe4 with its theoretical powder X-ray diffraction pattern. Radiation: Cu Kα (λ = 1.5418 Å). Structure: DFT lattice parameters and positions (GGA-PBE).
Kinematic intensities with the Lorentz-polarization factor, no thermal factor.

abc: 7.0291 7.0291 5.7006
angles: 90.00 90.00 90.00
Atoms (fractional coordinates):
Na: 0.0000 0.5000 0.0000
Na: 0.5000 0.0000 0.0000
Ta: 0.0000 0.0000 0.0000
Cu: 0.0000 0.0000 0.5000
Se: 0.2006 0.2006 0.7513
Se: 0.2006 0.7994 0.2487
Se: 0.7994 0.2006 0.2487
Se: 0.7994 0.7994 0.7513

The 12 most intense peaks (15 to 90 degrees two-theta), sorted by position:
| 2θ/deg | I/Imax |
| --- | --- |
| 17.8 | 57 |
| 20.1 | 20 |
| 23.8 | 100 |
| 28.4 | 20 |
| 32.5 | 43 |
| 36.1 | 49 |
| 40.8 | 84 |
| 42.8 | 51 |
| 46.6 | 38 |
| 50.4 | 37 |
| 52.2 | 20 |
| 56.3 | 20 |

This entry pairs a crystal structure of NaZrCuTeSe2 with its theoretical powder X-ray diffraction pattern. Radiation: Cu Kα (λ = 1.5418 Å). Structure: DFT lattice parameters and positions (GGA-PBE).
Kinematic intensities with the Lorentz-polarization factor, no thermal factor.

abc: 13.9066 3.9273 10.5227
angles: 90.00 90.00 90.00
Atoms (fractional coordinates):
Na: 0.2299 0.2500 0.0298
Na: 0.2701 0.7500 0.5298
Na: 0.7299 0.2500 0.4702
Na: 0.7701 0.7500 0.9702
Zr: 0.0057 0.2500 0.3250
Zr: 0.4943 0.7500 0.8250
Zr: 0.5057 0.2500 0.1750
Zr: 0.9943 0.7500 0.6750
Cu: 0.0086 0.7500 0.0927
Cu: 0.4914 0.2500 0.5927
Cu: 0.5086 0.7500 0.4073
Cu: 0.9914 0.2500 0.9073
Te: 0.1515 0.7500 0.2539
Te: 0.3485 0.2500 0.7539
Te: 0.6515 0.7500 0.2461
Te: 0.8485 0.2500 0.7461
Se: 0.1005 0.7500 0.8819
Se: 0.1007 0.2500 0.5655
Se: 0.3993 0.7500 0.0655
Se: 0.3995 0.2500 0.3819
Se: 0.6005 0.7500 0.6181
Se: 0.6007 0.2500 0.9345
Se: 0.8993 0.7500 0.4345
Se: 0.8995 0.2500 0.1181

The 12 most intense peaks (15 to 90 degrees two-theta), sorted by position:
| 2θ/deg | I/Imax |
| --- | --- |
| 26.1 | 27 |
| 27.4 | 30 |
| 28.5 | 100 |
| 31.0 | 72 |
| 31.2 | 71 |
| 34.4 | 81 |
| 35.5 | 32 |
| 36.7 | 34 |
| 43.4 | 95 |
| 46.2 | 56 |
| 49.1 | 34 |
| 55.2 | 31 |

This entry pairs a crystal structure of NaZrCuSe3 with its theoretical powder X-ray diffraction pattern. Radiation: Cu Kα (λ = 1.5418 Å). Structure: DFT lattice parameters and positions (GGA-PBE).
Kinematic intensities with the Lorentz-polarization factor, no thermal factor.

abc: 7.7831 3.8530 9.6195
angles: 90.00 108.09 90.00
Atoms (fractional coordinates):
Na: 0.2503 0.2500 0.2099
Na: 0.7497 0.7500 0.7901
Zr: 0.1918 0.7500 0.6721
Zr: 0.8082 0.2500 0.3279
Cu: 0.4156 0.2500 0.9045
Cu: 0.5844 0.7500 0.0955
Se: 0.0705 0.7500 0.3639
Se: 0.2440 0.7500 0.9582
Se: 0.4263 0.2500 0.6545
Se: 0.5737 0.7500 0.3455
Se: 0.7560 0.2500 0.0418
Se: 0.9295 0.2500 0.6361

The 12 most intense peaks (15 to 90 degrees two-theta), sorted by position:
| 2θ/deg | I/Imax |
| --- | --- |
| 26.1 | 32 |
| 28.7 | 28 |
| 29.3 | 72 |
| 32.8 | 100 |
| 33.6 | 95 |
| 36.6 | 44 |
| 37.2 | 26 |
| 42.0 | 29 |
| 46.1 | 74 |
| 47.0 | 35 |
| 47.2 | 50 |
| 50.2 | 33 |

This entry pairs a crystal structure of NaCuSn with its theoretical powder X-ray diffraction pattern. Radiation: Cu Kα (λ = 1.5418 Å). Structure: DFT lattice parameters and positions (GGA-PBE).
Kinematic intensities with the Lorentz-polarization factor, no thermal factor.

abc: 6.4115 6.4115 6.4115
angles: 90.00 90.00 90.00
Atoms (fractional coordinates):
Na: 0.0000 0.0000 0.0000
Na: 0.0000 0.5000 0.5000
Na: 0.5000 0.0000 0.5000
Na: 0.5000 0.5000 0.0000
Cu: 0.2500 0.2500 0.2500
Cu: 0.2500 0.7500 0.7500
Cu: 0.7500 0.2500 0.7500
Cu: 0.7500 0.7500 0.2500
Sn: 0.0000 0.0000 0.5000
Sn: 0.0000 0.5000 0.0000
Sn: 0.5000 0.0000 0.0000
Sn: 0.5000 0.5000 0.5000

The 11 most intense peaks (15 to 90 degrees two-theta), sorted by position:
| 2θ/deg | I/Imax |
| --- | --- |
| 24.0 | 75 |
| 27.8 | 16 |
| 39.8 | 100 |
| 47.0 | 39 |
| 49.2 | 5 |
| 57.5 | 17 |
| 63.2 | 16 |
| 65.1 | 7 |
| 72.2 | 34 |
| 77.3 | 13 |
| 85.7 | 11 |

This entry pairs a crystal structure of NaZrCuTe3 with its theoretical powder X-ray diffraction pattern. Radiation: Cu Kα (λ = 1.5418 Å). Structure: DFT lattice parameters and positions (GGA-PBE).
Kinematic intensities with the Lorentz-polarization factor, no thermal factor.

abc: 14.5763 4.0800 11.0407
angles: 90.00 90.00 90.00
Atoms (fractional coordinates):
Na: 0.2264 0.2500 0.0498
Na: 0.2736 0.7500 0.5498
Na: 0.7264 0.2500 0.4502
Na: 0.7736 0.7500 0.9502
Zr: 0.0107 0.2500 0.3173
Zr: 0.4893 0.7500 0.8173
Zr: 0.5107 0.2500 0.1827
Zr: 0.9893 0.7500 0.6827
Cu: 0.0085 0.7500 0.0934
Cu: 0.4915 0.2500 0.5934
Cu: 0.5085 0.7500 0.4066
Cu: 0.9915 0.2500 0.9066
Te: 0.1039 0.2500 0.5628
Te: 0.1075 0.7500 0.8851
Te: 0.1436 0.7500 0.2517
Te: 0.3564 0.2500 0.7517
Te: 0.3925 0.2500 0.3851
Te: 0.3961 0.7500 0.0628
Te: 0.6039 0.2500 0.9372
Te: 0.6075 0.7500 0.6149
Te: 0.6436 0.7500 0.2483
Te: 0.8564 0.2500 0.7483
Te: 0.8925 0.2500 0.1149
Te: 0.8961 0.7500 0.4372

The 12 most intense peaks (15 to 90 degrees two-theta), sorted by position:
| 2θ/deg | I/Imax |
| --- | --- |
| 24.0 | 31 |
| 27.1 | 100 |
| 29.7 | 79 |
| 29.9 | 51 |
| 32.9 | 68 |
| 35.1 | 22 |
| 41.3 | 33 |
| 41.4 | 65 |
| 44.4 | 39 |
| 44.7 | 20 |
| 46.8 | 24 |
| 52.8 | 32 |

This entry pairs a crystal structure of Nb2CuPb with its theoretical powder X-ray diffraction pattern. Radiation: Cu Kα (λ = 1.5418 Å). Structure: DFT lattice parameters and positions (GGA-PBE).
Kinematic intensities with the Lorentz-polarization factor, no thermal factor.

abc: 6.6757 6.6757 6.6757
angles: 90.00 90.00 90.00
Atoms (fractional coordinates):
Nb: 0.0000 0.0000 0.0000
Nb: 0.0000 0.5000 0.5000
Nb: 0.2500 0.2500 0.2500
Nb: 0.2500 0.7500 0.7500
Nb: 0.5000 0.0000 0.5000
Nb: 0.5000 0.5000 0.0000
Nb: 0.7500 0.2500 0.7500
Nb: 0.7500 0.7500 0.2500
Cu: 0.2500 0.2500 0.7500
Cu: 0.2500 0.7500 0.2500
Cu: 0.7500 0.2500 0.2500
Cu: 0.7500 0.7500 0.7500
Pb: 0.0000 0.0000 0.5000
Pb: 0.0000 0.5000 0.0000
Pb: 0.5000 0.0000 0.0000
Pb: 0.5000 0.5000 0.5000

The 12 most intense peaks (15 to 90 degrees two-theta), sorted by position:
| 2θ/deg | I/Imax |
| --- | --- |
| 23.1 | 13 |
| 26.7 | 10 |
| 38.1 | 100 |
| 45.0 | 8 |
| 47.2 | 3 |
| 55.0 | 17 |
| 60.4 | 3 |
| 62.2 | 5 |
| 68.9 | 34 |
| 73.7 | 3 |
| 81.6 | 11 |
| 86.2 | 3 |

This entry pairs a crystal structure of RbNbCuTe3 with its theoretical powder X-ray diffraction pattern. Radiation: Cu Kα (λ = 1.5418 Å). Structure: DFT lattice parameters and positions (GGA-PBE).
Kinematic intensities with the Lorentz-polarization factor, no thermal factor.

abc: 13.5678 4.1470 13.0203
angles: 90.00 90.00 90.00
Atoms (fractional coordinates):
Rb: 0.1902 0.2500 0.0479
Rb: 0.3098 0.7500 0.5479
Rb: 0.6902 0.2500 0.4521
Rb: 0.8098 0.7500 0.9521
Nb: 0.0333 0.2500 0.3384
Nb: 0.4667 0.7500 0.8384
Nb: 0.5333 0.2500 0.1616
Nb: 0.9667 0.7500 0.6616
Cu: 0.1561 0.7500 0.2986
Cu: 0.3439 0.2500 0.7986
Cu: 0.6561 0.7500 0.2014
Cu: 0.8439 0.2500 0.7014
Te: 0.0022 0.2500 0.8114
Te: 0.0785 0.2500 0.5594
Te: 0.2463 0.7500 0.8227
Te: 0.2537 0.2500 0.3227
Te: 0.4215 0.7500 0.0594
Te: 0.4978 0.7500 0.3114
Te: 0.5022 0.2500 0.6886
Te: 0.5785 0.2500 0.9406
Te: 0.7463 0.7500 0.6773
Te: 0.7537 0.2500 0.1773
Te: 0.9215 0.7500 0.4406
Te: 0.9978 0.7500 0.1886

The 12 most intense peaks (15 to 90 degrees two-theta), sorted by position:
| 2θ/deg | I/Imax |
| --- | --- |
| 26.1 | 66 |
| 26.3 | 34 |
| 28.2 | 100 |
| 28.7 | 47 |
| 29.7 | 28 |
| 32.4 | 75 |
| 35.7 | 89 |
| 35.9 | 29 |
| 40.3 | 32 |
| 43.7 | 55 |
| 50.6 | 29 |
| 52.8 | 34 |

This entry pairs a crystal structure of NbCu3Se3S with its theoretical powder X-ray diffraction pattern. Radiation: Cu Kα (λ = 1.5418 Å). Structure: DFT lattice parameters and positions (GGA-PBE).
Kinematic intensities with the Lorentz-polarization factor, no thermal factor.

abc: 5.6434 5.6434 5.6434
angles: 89.29 89.29 89.29
Atoms (fractional coordinates):
Nb: 0.0000 0.0000 0.0000
Cu: 0.0074 0.0074 0.4972
Cu: 0.0074 0.4972 0.0074
Cu: 0.4972 0.0074 0.0074
Se: 0.2584 0.7498 0.7498
Se: 0.7498 0.2584 0.7498
Se: 0.7498 0.7498 0.2584
S: 0.2360 0.2360 0.2360

The 12 most intense peaks (15 to 90 degrees two-theta), sorted by position:
| 2θ/deg | I/Imax |
| --- | --- |
| 15.7 | 100 |
| 27.0 | 30 |
| 27.5 | 78 |
| 35.4 | 24 |
| 35.8 | 33 |
| 45.2 | 75 |
| 45.8 | 73 |
| 54.0 | 25 |
| 66.3 | 23 |
| 83.0 | 12 |
| 84.2 | 23 |
| 84.7 | 11 |